For PmPr2Nd7, the PBE geometry in Alexandria gives the computed powder diffractogram in this record (Cu Kα).

Top 12 peaks for 10 to 90 degrees two-theta, by angle:
25.57 deg, rel. 21, (0 1 0)
29.02 deg, rel. 77, (2 0 -3)
29.58 deg, rel. 83, (0 0 5)
30.22 deg, rel. 100, (1 1 1)
31.22 deg, rel. 31, (0 1 3)
31.97 deg, rel. 69, (2 0 2)
35.71 deg, rel. 60, (1 1 -4)
39.06 deg, rel. 28, (2 1 -3)
49.05 deg, rel. 34, (3 1 0)
61.14 deg, rel. 22, (2 2 -3)
61.45 deg, rel. 22, (0 2 5)
62.83 deg, rel. 20, (2 2 2)

Structure:
```
data_PmPr2Nd7
_chemical_formula_sum 'Pm1 Pr2 Nd7'
_space_group_name_H-M_alt 'P 1 2/m 1'
_space_group_IT_number 10
_cell_length_a 6.7378
_cell_length_b 3.4836
_cell_length_c 15.4666
_cell_angle_alpha 90.00
_cell_angle_beta 102.47
_cell_angle_gamma 90.00
loop_
_space_group_symop_operation_xyz
'x,y,z'
'-x,-y,-z'
'-x,y,-z'
'x,-y,z'
loop_
_atom_site_label
_atom_site_type_symbol
_atom_site_fract_x
_atom_site_fract_y
_atom_site_fract_z
Pm1 Pm 0.0000 0.0000 0.0000
Pr1 Pr 0.2047 0.5000 0.4118
Nd1 Nd 0.1455 0.5000 0.8010
Nd2 Nd 0.3112 0.0000 0.6206
Nd3 Nd 0.3438 0.5000 0.1992
Nd4 Nd 0.5000 0.5000 0.0000
```